1.
Computed powder XRD pattern
Compound: Al4Hg3
Radiation: CuKα
Structure: a crystal structure in OQMD, relaxed with PBE

Main lines, in order of rising 2θ (5° ≤ 2θ ≤ 70°):
14.284 Å, 2θ = 6.2°, I 22; 4.761 Å, 2θ = 18.6°, I 43; 3.571 Å, 2θ = 24.9°, I 20; 2.902 Å, 2θ = 30.8°, I 39; 2.772 Å, 2θ = 32.3°, I 33; 2.642 Å, 2θ = 33.9°, I 100; 2.116 Å, 2θ = 42.7°, I 53; 2.041 Å, 2θ = 44.4°, I 16; 1.691 Å, 2θ = 54.2°, I 27; 1.424 Å, 2θ = 65.5°, I 15

Atomic structure:
abc: 14.417 14.417 14.417
angles: 13.47 13.47 13.47
Atoms (fractional coordinates):
Al 0.144 0.144 0.144
Al 0.285 0.285 0.285
Al 0.715 0.715 0.715
Al 0.856 0.856 0.856
Hg 0.000 0.000 0.000
Hg 0.429 0.429 0.429
Hg 0.571 0.571 0.571

2.
Computed powder XRD pattern
Compound: La7B9Os4
Radiation: CuKα
Structure: a crystal structure in OQMD, relaxed with PBE

Main lines, in order of rising 2θ (5° ≤ 2θ ≤ 70°):
3.337 Å, 2θ = 26.7°, I 29; 3.306 Å, 2θ = 27.0°, I 24; 2.947 Å, 2θ = 30.3°, I 100; 2.925 Å, 2θ = 30.6°, I 35; 2.833 Å, 2θ = 31.6°, I 60; 2.814 Å, 2θ = 31.8°, I 83; 2.716 Å, 2θ = 33.0°, I 79; 2.689 Å, 2θ = 33.3°, I 25; 1.990 Å, 2θ = 45.6°, I 26; 1.742 Å, 2θ = 52.5°, I 20

Atomic structure:
abc: 6.911 6.911 12.529
angles: 111.07 111.07 46.27
Atoms (fractional coordinates):
La 0.000 0.000 0.000
La 0.133 0.133 0.624
La 0.148 0.148 0.324
La 0.365 0.365 0.142
La 0.635 0.635 0.858
La 0.852 0.852 0.676
La 0.867 0.867 0.376
B 0.079 0.079 0.822
B 0.213 0.213 0.871
B 0.387 0.387 0.704
B 0.400 0.400 0.386
B 0.500 0.500 0.000
B 0.600 0.600 0.614
B 0.613 0.613 0.296
B 0.787 0.787 0.129
B 0.921 0.921 0.178
Os 0.364 0.364 0.855
Os 0.430 0.430 0.564
Os 0.570 0.570 0.436
Os 0.636 0.636 0.145

3.
Computed powder XRD pattern
Compound: Na2Zn2Te3O9
Radiation: CuKα
Structure: a crystal structure in OQMD, relaxed with PBE

Main lines, in order of rising 2θ (5° ≤ 2θ ≤ 70°):
6.610 Å, 2θ = 13.4°, I 82; 4.459 Å, 2θ = 19.9°, I 29; 3.508 Å, 2θ = 25.4°, I 39; 3.305 Å, 2θ = 27.0°, I 34; 2.899 Å, 2θ = 30.8°, I 55; 2.655 Å, 2θ = 33.8°, I 100; 2.406 Å, 2θ = 37.4°, I 45; 1.908 Å, 2θ = 47.7°, I 25; 1.560 Å, 2θ = 59.2°, I 23; 1.451 Å, 2θ = 64.2°, I 23

Atomic structure:
abc: 7.632 7.632 8.917
angles: 90.00 90.00 120.00
Atoms (fractional coordinates):
Na 0.000 0.000 0.123
Na 0.000 0.000 0.377
Na 0.000 0.000 0.623
Na 0.000 0.000 0.877
Zn 0.333 0.667 0.040
Zn 0.333 0.667 0.460
Zn 0.667 0.333 0.540
Zn 0.667 0.333 0.960
Te 0.043 0.569 0.750
Te 0.431 0.474 0.750
Te 0.474 0.043 0.250
Te 0.526 0.957 0.750
Te 0.569 0.526 0.250
Te 0.957 0.431 0.250
O 0.155 0.753 0.582
O 0.155 0.753 0.918
O 0.199 0.417 0.250
O 0.218 0.801 0.250
O 0.247 0.402 0.582
O 0.247 0.402 0.918
O 0.402 0.155 0.082
O 0.402 0.155 0.418
O 0.417 0.218 0.750
O 0.583 0.782 0.250
O 0.598 0.845 0.582
O 0.598 0.845 0.918
O 0.753 0.598 0.082
O 0.753 0.598 0.418
O 0.782 0.199 0.750
O 0.801 0.583 0.750
O 0.845 0.247 0.082
O 0.845 0.247 0.418